# BaCu12Ge7
Theoretical X-ray diffraction stick pattern, Cu Kα X-rays. Input: a DFT-relaxed cell (GGA-PBE, Alexandria).
No peak broadening, texture or thermal motion is included.

Peak list (10 most intense, 2θ from 5° to 70°, in order of rising 2θ)
| 2θ (°) | I (rel.) |
| --- | --- |
| 31.93 | 27.8 |
| 34.78 | 54.7 |
| 34.89 | 39.1 |
| 37.65 | 25.6 |
| 40.14 | 33.8 |
| 41.64 | 44.8 |
| 41.93 | 100.0 |
| 42.62 | 67.3 |
| 44.98 | 33.1 |
| 60.57 | 31.7 |

Cell and atoms:
```
BaCu12Ge7
1.0
6.464 3.732 2.169
-6.464 3.732 2.169
0.000 -7.464 2.169
Ba Cu Ge
1 12 7
Direct
0.000 0.000 0.000
0.000 0.268 0.732
0.000 0.732 0.268
0.060 0.404 0.404
0.268 0.000 0.732
0.268 0.732 0.000
0.404 0.060 0.404
0.404 0.404 0.060
0.596 0.596 0.940
0.596 0.940 0.596
0.732 0.000 0.268
0.732 0.268 0.000
0.940 0.596 0.596
0.197 0.197 0.552
0.197 0.552 0.197
0.448 0.803 0.803
0.500 0.500 0.500
0.552 0.197 0.197
0.803 0.448 0.803
0.803 0.803 0.448
```


# Na2Tl5In3
Theoretical X-ray diffraction stick pattern, Cu Kα X-rays. Input: a DFT-relaxed cell (GGA-PBE, Alexandria).
No peak broadening, texture or thermal motion is included.

Peak list (10 most intense, 2θ from 5° to 70°, in order of rising 2θ)
| 2θ (°) | I (rel.) |
| --- | --- |
| 16.89 | 46.0 |
| 20.79 | 26.4 |
| 20.96 | 26.0 |
| 31.83 | 46.2 |
| 32.89 | 100.0 |
| 32.95 | 83.7 |
| 33.24 | 81.6 |
| 34.32 | 60.1 |
| 35.06 | 29.4 |
| 35.64 | 70.5 |

Cell and atoms:
```
Na2Tl5In3
1.0
5.039 0.000 0.000
-2.473 5.941 0.000
-0.056 -0.519 10.238
Na Tl In
2 5 3
Direct
0.050 0.104 0.285
0.950 0.896 0.715
0.161 0.320 0.974
0.334 0.673 0.244
0.500 0.000 0.500
0.666 0.327 0.756
0.839 0.680 0.026
0.246 0.492 0.597
0.500 0.000 0.000
0.754 0.508 0.403
```


# Pm4Al3Ni
Theoretical X-ray diffraction stick pattern, Cu Kα X-rays. Input: a DFT-relaxed cell (GGA-PBE, Alexandria).
No peak broadening, texture or thermal motion is included.

Peak list (10 most intense, 2θ from 5° to 70°, in order of rising 2θ)
| 2θ (°) | I (rel.) |
| --- | --- |
| 24.92 | 69.4 |
| 30.28 | 23.2 |
| 31.69 | 100.0 |
| 32.68 | 60.5 |
| 36.43 | 26.0 |
| 38.50 | 24.7 |
| 40.19 | 25.5 |
| 47.65 | 21.0 |
| 49.74 | 17.6 |
| 52.73 | 31.4 |

Cell and atoms:
```
Pm4Al3Ni
1.0
3.817 0.000 0.000
0.000 4.488 0.000
0.000 0.000 11.806
Pm Al Ni
4 3 1
Direct
0.000 0.000 0.000
0.000 0.500 0.275
0.500 0.000 0.470
0.500 0.500 0.788
0.000 0.000 0.694
0.000 0.500 0.565
0.500 0.500 0.072
0.500 0.000 0.189
```


# La4Al3AgO12
Theoretical X-ray diffraction stick pattern, Cu Kα X-rays. Input: a DFT-relaxed cell (GGA-PBE, Alexandria).
No peak broadening, texture or thermal motion is included.

Peak list (10 most intense, 2θ from 5° to 70°, in order of rising 2θ)
| 2θ (°) | I (rel.) |
| --- | --- |
| 16.10 | 7.1 |
| 22.84 | 20.6 |
| 28.07 | 4.1 |
| 32.53 | 100.0 |
| 40.12 | 24.4 |
| 43.49 | 3.3 |
| 46.66 | 33.6 |
| 52.56 | 10.3 |
| 58.03 | 38.7 |
| 68.12 | 19.8 |

Cell and atoms:
```
La4Al3AgO12
1.0
-3.893 3.893 3.893
3.893 -3.893 3.893
3.893 3.893 -3.893
La Al Ag O
4 3 1 12
Direct
0.000 0.000 0.500
0.000 0.500 0.000
0.500 0.000 0.000
0.500 0.500 0.500
0.000 0.500 0.500
0.500 0.000 0.500
0.500 0.500 0.000
0.000 0.000 0.000
0.000 0.266 0.266
0.000 0.734 0.734
0.250 0.500 0.750
0.250 0.750 0.500
0.266 0.000 0.266
0.266 0.266 0.000
0.500 0.250 0.750
0.500 0.750 0.250
0.734 0.000 0.734
0.734 0.734 0.000
0.750 0.250 0.500
0.750 0.500 0.250
```


# K3ZrNp2S6
Theoretical X-ray diffraction stick pattern, Cu Kα X-rays. Input: a DFT-relaxed cell (GGA-PBE, Alexandria).
No peak broadening, texture or thermal motion is included.

Peak list (10 most intense, 2θ from 5° to 70°, in order of rising 2θ)
| 2θ (°) | I (rel.) |
| --- | --- |
| 11.96 | 93.9 |
| 24.06 | 20.9 |
| 26.17 | 32.6 |
| 27.09 | 41.4 |
| 30.54 | 100.0 |
| 38.59 | 22.7 |
| 41.80 | 38.6 |
| 45.59 | 32.9 |
| 47.31 | 20.0 |
| 52.21 | 17.3 |

Cell and atoms:
```
K3ZrNp2S6
1.0
3.446 -5.969 0.000
3.446 5.969 0.000
-2.300 0.000 7.398
K Zr Np S
3 1 2 6
Direct
0.000 0.000 0.000
0.332 0.668 0.000
0.668 0.332 0.000
0.500 0.500 0.500
0.167 0.833 0.500
0.833 0.167 0.500
0.112 0.433 0.299
0.246 0.246 0.701
0.433 0.112 0.299
0.567 0.888 0.701
0.754 0.754 0.299
0.888 0.567 0.701
```


# Na5Ti2O6
Theoretical X-ray diffraction stick pattern, Cu Kα X-rays. Input: a DFT-relaxed cell (GGA-PBE, Alexandria).
No peak broadening, texture or thermal motion is included.

Peak list (10 most intense, 2θ from 5° to 70°, in order of rising 2θ)
| 2θ (°) | I (rel.) |
| --- | --- |
| 10.83 | 41.1 |
| 14.71 | 100.0 |
| 15.94 | 45.8 |
| 25.14 | 48.0 |
| 29.68 | 28.7 |
| 34.97 | 50.9 |
| 35.57 | 43.7 |
| 36.16 | 43.3 |
| 53.18 | 30.7 |
| 59.21 | 35.7 |

Cell and atoms:
```
Na5Ti2O6
1.0
11.120 0.000 0.000
0.000 12.041 0.000
0.000 0.000 3.298
Na Ti O
10 4 12
Direct
0.000 0.000 0.000
0.154 0.497 0.000
0.245 0.246 0.000
0.255 0.746 0.000
0.346 0.997 0.000
0.500 0.500 0.000
0.654 0.003 0.000
0.745 0.254 0.000
0.755 0.754 0.000
0.846 0.503 0.000
0.005 0.725 0.500
0.495 0.225 0.500
0.505 0.775 0.500
0.995 0.275 0.500
0.008 0.807 0.000
0.131 0.354 0.500
0.137 0.640 0.500
0.363 0.140 0.500
0.369 0.854 0.500
0.492 0.307 0.000
0.508 0.693 0.000
0.631 0.146 0.500
0.637 0.860 0.500
0.863 0.360 0.500
0.869 0.646 0.500
0.992 0.193 0.000
```


# Rb2InOsF6
Theoretical X-ray diffraction stick pattern, Cu Kα X-rays. Input: a DFT-relaxed cell (GGA-PBE, Alexandria).
No peak broadening, texture or thermal motion is included.

Peak list (10 most intense, 2θ from 5° to 70°, in order of rising 2θ)
| 2θ (°) | I (rel.) |
| --- | --- |
| 16.60 | 8.9 |
| 19.19 | 17.9 |
| 27.27 | 100.0 |
| 32.10 | 2.6 |
| 38.95 | 33.9 |
| 43.77 | 7.6 |
| 48.20 | 40.8 |
| 56.27 | 21.3 |
| 60.02 | 3.5 |
| 63.63 | 19.9 |

Cell and atoms:
```
Rb2InOsF6
1.0
0.000 4.624 4.624
4.624 0.000 4.624
4.624 4.624 0.000
Rb In Os F
2 1 1 6
Direct
0.250 0.250 0.250
0.750 0.750 0.750
0.000 0.000 0.000
0.500 0.500 0.500
0.278 0.278 0.722
0.278 0.722 0.278
0.278 0.722 0.722
0.722 0.278 0.278
0.722 0.278 0.722
0.722 0.722 0.278
```


# Mg2H6Ir
Theoretical X-ray diffraction stick pattern, Cu Kα X-rays. Input: a DFT-relaxed cell (GGA-PBE, Alexandria).
No peak broadening, texture or thermal motion is included.

Peak list (10 most intense, 2θ from 5° to 70°, in order of rising 2θ)
| 2θ (°) | I (rel.) |
| --- | --- |
| 13.95 | 100.0 |
| 21.07 | 30.6 |
| 25.35 | 54.4 |
| 25.42 | 23.7 |
| 29.07 | 62.6 |
| 35.30 | 12.5 |
| 38.23 | 39.6 |
| 39.67 | 19.7 |
| 42.19 | 16.3 |
| 49.37 | 13.2 |

Cell and atoms:
```
Mg2H6Ir
1.0
4.216 -1.930 0.000
4.216 1.930 0.000
-0.032 0.000 6.350
Mg H Ir
2 6 1
Direct
0.000 0.000 0.000
0.080 0.080 0.453
0.070 0.070 0.737
0.201 0.201 0.156
0.326 0.326 0.511
0.440 0.440 0.002
0.570 0.570 0.346
0.864 0.864 0.272
0.383 0.383 0.260
```


# Tb6Te3AsIr2
Theoretical X-ray diffraction stick pattern, Cu Kα X-rays. Input: a DFT-relaxed cell (GGA-PBE, Alexandria).
No peak broadening, texture or thermal motion is included.

Peak list (10 most intense, 2θ from 5° to 70°, in order of rising 2θ)
| 2θ (°) | I (rel.) |
| --- | --- |
| 12.29 | 8.2 |
| 29.66 | 100.0 |
| 41.63 | 22.4 |
| 41.80 | 11.1 |
| 43.18 | 37.8 |
| 50.71 | 4.7 |
| 53.19 | 14.8 |
| 53.37 | 6.4 |
| 61.45 | 5.1 |
| 61.63 | 6.9 |

Cell and atoms:
```
Tb6Te3AsIr2
1.0
3.627 -6.291 0.000
3.627 6.291 0.000
-2.451 0.000 7.201
Tb Te As Ir
6 3 1 2
Direct
0.086 0.431 0.789
0.227 0.227 0.210
0.431 0.086 0.789
0.569 0.914 0.211
0.773 0.773 0.790
0.914 0.569 0.211
0.000 0.000 0.500
0.337 0.663 0.500
0.663 0.337 0.500
0.500 0.500 0.000
0.167 0.833 0.000
0.833 0.167 0.000
```


# Cu8Ni2Pd3
Theoretical X-ray diffraction stick pattern, Cu Kα X-rays. Input: a DFT-relaxed cell (GGA-PBE, Alexandria).
No peak broadening, texture or thermal motion is included.

Peak list (10 most intense, 2θ from 5° to 70°, in order of rising 2θ)
| 2θ (°) | I (rel.) |
| --- | --- |
| 27.31 | 17.4 |
| 31.65 | 10.4 |
| 38.52 | 54.0 |
| 42.34 | 100.0 |
| 43.42 | 56.8 |
| 45.28 | 58.1 |
| 46.77 | 30.3 |
| 47.86 | 26.4 |
| 48.35 | 17.5 |
| 48.98 | 16.7 |

Cell and atoms:
```
Cu8Ni2Pd3
1.0
2.337 1.349 9.213
-2.337 1.349 9.213
0.000 -2.699 9.213
Cu Ni Pd
8 2 3
Direct
0.224 0.224 0.224
0.234 0.234 0.733
0.234 0.733 0.234
0.267 0.766 0.766
0.733 0.234 0.234
0.766 0.267 0.766
0.766 0.766 0.267
0.776 0.776 0.776
0.141 0.141 0.141
0.859 0.859 0.859
0.317 0.317 0.317
0.500 0.500 0.500
0.683 0.683 0.683
```


# Sc4Ni3Rh
Theoretical X-ray diffraction stick pattern, Cu Kα X-rays. Input: a DFT-relaxed cell (GGA-PBE, Alexandria).
No peak broadening, texture or thermal motion is included.

Peak list (10 most intense, 2θ from 5° to 70°, in order of rising 2θ)
| 2θ (°) | I (rel.) |
| --- | --- |
| 9.70 | 5.0 |
| 19.48 | 2.4 |
| 27.68 | 8.8 |
| 28.57 | 4.1 |
| 39.54 | 52.5 |
| 40.20 | 100.0 |
| 49.51 | 3.8 |
| 57.16 | 16.6 |
| 59.15 | 7.4 |
| 64.67 | 1.7 |

Cell and atoms:
```
Sc4Ni3Rh
1.0
3.124 0.000 0.000
0.000 4.556 0.000
0.000 0.000 9.119
Sc Ni Rh
4 3 1
Direct
0.000 0.000 0.000
0.000 0.000 0.500
0.000 0.500 0.246
0.000 0.500 0.754
0.500 0.000 0.250
0.500 0.000 0.750
0.500 0.500 0.000
0.500 0.500 0.500
```


# La5Dy6Er2
Theoretical X-ray diffraction stick pattern, Cu Kα X-rays. Input: a DFT-relaxed cell (GGA-PBE, Alexandria).
No peak broadening, texture or thermal motion is included.

Peak list (10 most intense, 2θ from 5° to 70°, in order of rising 2θ)
| 2θ (°) | I (rel.) |
| --- | --- |
| 26.86 | 14.8 |
| 30.90 | 58.0 |
| 31.05 | 100.0 |
| 31.76 | 83.4 |
| 33.82 | 41.4 |
| 34.66 | 16.8 |
| 36.23 | 40.7 |
| 50.26 | 18.8 |
| 60.16 | 21.6 |
| 60.29 | 16.2 |

Cell and atoms:
```
La5Dy6Er2
1.0
11.690 0.000 0.000
0.000 20.773 0.000
0.000 0.000 3.631
La Dy Er
10 12 4
Direct
0.000 0.000 0.000
0.078 0.272 0.000
0.199 0.551 0.000
0.301 0.051 0.000
0.422 0.772 0.000
0.500 0.500 0.000
0.578 0.228 0.000
0.699 0.949 0.000
0.801 0.449 0.000
0.922 0.728 0.000
0.063 0.419 0.500
0.079 0.132 0.500
0.177 0.860 0.000
0.323 0.360 0.000
0.421 0.632 0.500
0.437 0.919 0.500
0.563 0.081 0.500
0.579 0.368 0.500
0.677 0.640 0.000
0.823 0.140 0.000
0.921 0.868 0.500
0.937 0.581 0.500
0.175 0.711 0.500
0.325 0.211 0.500
0.675 0.789 0.500
0.825 0.289 0.500
```